# 1
# Pr7Sm2Mg2
Simulated powder diffractogram, Cu Ka. Input: a cell relaxed with GGA-PBE.
Peak positions follow from Bragg's law for the DFT cell and can differ from measured ones.

Structure:
a b c (Å): 10.8956 11.7523 6.2513
angles (deg): 90.00 111.84 90.00
Space group C2/m (No. 12)
Asymmetric unit:
Pr (0.0000, 0.0000, 0.0000) [2 per cell]
Pr (0.0799, 0.5000, 0.7985) [4 per cell]
Pr (0.1792, 0.2413, 0.1883) [8 per cell]
Sm (0.2051, 0.0000, 0.5915) [4 per cell]
Mg (0.0000, 0.2295, 0.5000) [4 per cell]

Top 6 peaks for 10° ≤ 2θ ≤ 90°, low angle first:
(hkl), d (Å), 2θ/deg, I/Imax
3 1 -1, 3.392, 26.3, 43
1 1 -2, 3.009, 29.7, 37
0 4 0, 2.938, 30.4, 56
2 2 1, 2.850, 31.4, 100
4 0 -1, 2.713, 33.0, 37
3 3 -1, 2.628, 34.1, 29


# 2
# TbNd8Sc5
Simulated powder diffractogram, Cu Ka. Input: a cell relaxed with GGA-PBE.
Peak positions follow from Bragg's law for the DFT cell and can differ from measured ones.

Structure:
a b c (Å): 9.4293 9.4293 10.0799
angles (deg): 90.00 90.00 90.00
Space group I-4 (No. 82)
Asymmetric unit:
Tb (0.0000, 0.0000, 0.0000) [2 per cell]
Nd (0.0681, 0.1720, 0.3417) [8 per cell]
Nd (0.0955, 0.3256, 0.0004) [8 per cell]
Sc (0.0000, 0.5000, 0.2500) [2 per cell]
Sc (0.1070, 0.3033, 0.6790) [8 per cell]

Top 6 peaks for 10° ≤ 2θ ≤ 90°, low angle first:
(hkl), d (Å), 2θ/deg, I/Imax
1 2 1, 3.890, 22.9, 87
1 0 3, 3.165, 28.2, 100
1 3 0, 2.982, 30.0, 81
2 1 3, 2.628, 34.1, 91
1 3 2, 2.566, 35.0, 94
3 2 1, 2.531, 35.5, 81


# 3
# Ti5Mo2
Simulated powder diffractogram, Cu Ka. Input: a cell relaxed with GGA-PBE.
Peak positions follow from Bragg's law for the DFT cell and can differ from measured ones.

Structure:
a b c (Å): 3.1180 3.1180 24.1215
angles (deg): 90.00 90.00 90.00
Space group I4/mmm (No. 139)
Asymmetric unit:
Ti (0.0000, 0.0000, 0.0000) [2 per cell]
Ti (0.0000, 0.0000, 0.1505) [4 per cell]
Ti (0.0000, 0.0000, 0.4247) [4 per cell]
Mo (0.0000, 0.0000, 0.2816) [4 per cell]

Top 6 peaks for 10° ≤ 2θ ≤ 90°, low angle first:
(hkl), d (Å), 2θ/deg, I/Imax
1 0 7, 2.312, 39.0, 100
1 1 0, 2.205, 40.9, 45
1 0 9, 2.032, 44.6, 10
2 0 0, 1.559, 59.3, 14
1 1 14, 1.358, 69.2, 14
2 1 7, 1.293, 73.2, 28


# 4
# CsH2I
Simulated powder diffractogram, Cu Ka. Input: a cell relaxed with GGA-PBE.
Peak positions follow from Bragg's law for the DFT cell and can differ from measured ones.

Structure:
a b c (Å): 5.4966 5.6142 8.2089
angles (deg): 90.00 90.00 90.00
Space group Pmmn (No. 59, origin choice 2)
Asymmetric unit:
Cs (0.2500, 0.2500, 0.2396) [2 per cell]
H (0.2500, 0.6827, 0.5382) [4 per cell]
I (0.2500, 0.2500, 0.7731) [2 per cell]

Top 6 peaks for 10° ≤ 2θ ≤ 90°, low angle first:
(hkl), d (Å), 2θ/deg, I/Imax
0 0 2, 4.104, 21.7, 53
1 1 0, 3.928, 22.6, 100
1 1 2, 2.838, 31.5, 85
0 2 2, 2.317, 38.9, 23
2 0 2, 2.284, 39.5, 22
1 3 0, 1.771, 51.6, 31


# 5
# LiCaMgF6
Simulated powder diffractogram, Cu Ka. Input: a cell relaxed with GGA-PBE.
Peak positions follow from Bragg's law for the DFT cell and can differ from measured ones.

Structure:
a b c (Å): 4.9240 4.9240 9.7198
angles (deg): 90.00 90.00 90.00
Space group P4_2nm (No. 102)
Asymmetric unit:
Li (0.0000, 0.0000, 0.0000) [2 per cell]
Ca (0.0000, 0.0000, 0.6644) [2 per cell]
Mg (0.0000, 0.0000, 0.3253) [2 per cell]
F (0.1812, 0.1812, 0.1676) [4 per cell]
F (0.2016, 0.2016, 0.4754) [4 per cell]
F (0.2127, 0.2127, 0.8441) [4 per cell]

Top 6 peaks for 10° ≤ 2θ ≤ 90°, low angle first:
(hkl), d (Å), 2θ/deg, I/Imax
1 0 1, 4.393, 20.2, 36
1 1 0, 3.482, 25.6, 100
1 1 3, 2.372, 37.9, 92
2 1 3, 1.821, 50.1, 74
2 2 0, 1.741, 52.6, 33
3 0 3, 1.464, 63.5, 41


# 6
# Pa2ZnGa6
Simulated powder diffractogram, Cu Ka. Input: a cell relaxed with GGA-PBE.
Peak positions follow from Bragg's law for the DFT cell and can differ from measured ones.

Structure:
a b c (Å): 4.5958 4.5958 8.4217
angles (deg): 90.00 90.00 90.00
Space group P4/mmm (No. 123)
Asymmetric unit:
Pa (0.0000, 0.0000, 0.2502) [2 per cell]
Zn (0.5000, 0.5000, 0.0000) [1 per cell]
Ga (0.0000, 0.5000, 0.0000) [2 per cell]
Ga (0.0000, 0.5000, 0.5000) [2 per cell]
Ga (0.5000, 0.5000, 0.3028) [2 per cell]

Top 6 peaks for 10° ≤ 2θ ≤ 90°, low angle first:
(hkl), d (Å), 2θ/deg, I/Imax
1 1 0, 3.250, 27.4, 21
1 0 2, 3.105, 28.8, 43
1 1 2, 2.573, 34.9, 100
2 0 0, 2.298, 39.2, 54
2 0 4, 1.552, 59.6, 25
3 1 2, 1.374, 68.3, 28